Computed powder X-ray diffraction pattern
Compound: Y4TiSi2O9F6
Radiation: Cu Kα (λ = 1.5418 Å)
Structure: the PBE geometry in Alexandria
No peak broadening, texture or thermal motion is included.

Crystal structure
Unit cell a=15.0350 b=10.7019 c=7.1256 alpha=90.00 beta=90.00 gamma=90.00
Space group Cmcm (No. 63)
Symmetry-distinct sites (fractional):
1 Y 0.1305 0.2063 0.2500
2 Y 0.1464 0.4354 0.7500
3 Ti 0.0000 0.0000 0.0000
4 Si 0.1569 0.1202 0.7500
5 O 0.0000 0.0617 0.2500
6 O 0.0944 0.1266 0.5571
7 O 0.2087 0.0146 0.2500
8 O 0.2186 0.2469 0.7500
9 F 0.0000 0.3011 0.2500
10 F 0.0000 0.4116 0.7500
11 F 0.1415 0.3874 0.0617

Principal peaks in the range 2θ from 10° to 90°, sorted by position:
2θ (°)	Rel. int.	hkl
19.6	432	3 1 0
20.8	371	0 2 1
23.7	935	4 0 0
25.0	1000	0 0 2
28.6	859	1 3 1
30.8	372	3 3 0
33.3	682	3 3 1
48.4	414	8 0 0
49.6	372	3 3 3
51.3	690	0 0 4